Diffraction record for AlHgTe. The powder diffraction line list is calculated, not measured: it uses a GGA-PBE-relaxed structure and a wavelength of 1.5418 Å.
Lines closer than 0.1° are merged.

The 10 most intense peaks (10 to 90 degrees two-theta), low angle first:
| 2θ/deg | d/Å | intensity |
| --- | --- | --- |
| 22.0 | 4.047 | 90 |
| 24.2 | 3.672 | 100 |
| 26.0 | 3.423 | 56 |
| 27.3 | 3.269 | 99 |
| 27.8 | 3.208 | 74 |
| 27.9 | 3.196 | 68 |
| 28.4 | 3.142 | 90 |
| 33.9 | 2.642 | 80 |
| 34.8 | 2.579 | 89 |
| 44.4 | 2.041 | 55 |

Structure:
Lattice parameters (Å, degrees): 4.082 5.585 10.597 97.07 100.94 111.33
Positions (direct):
1 Al 0.000 0.000 0.000
2 Al 0.200 0.456 0.942
3 Hg 0.804 0.037 0.552
4 Hg 0.996 0.551 0.416
5 Te 0.513 0.880 0.147
6 Te 0.687 0.577 0.795

***

Diffraction record for Ba2Mg3AgF12. The powder diffraction line list is calculated, not measured: it uses a GGA-PBE-relaxed structure and a wavelength of 1.5418 Å.
Lines closer than 0.1° are merged.

The 10 most intense peaks (10 to 90 degrees two-theta), low angle first:
| 2θ/deg | d/Å | intensity |
| --- | --- | --- |
| 17.5 | 5.074 | 33 |
| 24.6 | 3.624 | 83 |
| 28.9 | 3.088 | 30 |
| 29.1 | 3.065 | 100 |
| 29.6 | 3.021 | 69 |
| 38.8 | 2.321 | 66 |
| 39.4 | 2.289 | 36 |
| 46.2 | 1.966 | 32 |
| 46.5 | 1.954 | 37 |
| 50.4 | 1.812 | 54 |

Structure:
Lattice parameters (Å, degrees): 7.108 7.108 7.108 61.32 61.32 61.32
Positions (direct):
1 Ba 0.111 0.111 0.111
2 Ba 0.889 0.889 0.889
3 Mg 0.000 0.500 0.500
4 Mg 0.500 0.000 0.500
5 Mg 0.500 0.500 0.000
6 Ag 0.500 0.500 0.500
7 F 0.091 0.633 0.633
8 F 0.212 0.212 0.620
9 F 0.212 0.620 0.212
10 F 0.367 0.367 0.909
11 F 0.367 0.909 0.367
12 F 0.380 0.788 0.788
13 F 0.620 0.212 0.212
14 F 0.633 0.091 0.633
15 F 0.633 0.633 0.091
16 F 0.788 0.380 0.788
17 F 0.788 0.788 0.380
18 F 0.909 0.367 0.367

***

Diffraction record for Ba2LiPd6Pb. The powder diffraction line list is calculated, not measured: it uses a GGA-PBE-relaxed structure and a wavelength of 1.5418 Å.
Lines closer than 0.1° are merged.

The 10 most intense peaks (10 to 90 degrees two-theta), low angle first:
| 2θ/deg | d/Å | intensity |
| --- | --- | --- |
| 15.6 | 5.671 | 53 |
| 25.5 | 3.492 | 29 |
| 30.3 | 2.947 | 49 |
| 30.5 | 2.935 | 100 |
| 32.9 | 2.720 | 19 |
| 39.8 | 2.264 | 30 |
| 41.0 | 2.199 | 24 |
| 41.4 | 2.178 | 24 |
| 45.0 | 2.016 | 16 |
| 71.5 | 1.320 | 22 |

Structure:
Lattice parameters (Å, degrees): 6.748 6.784 6.785 61.95 62.17 62.12
Positions (direct):
1 Ba 0.194 0.194 0.195
2 Ba 0.806 0.806 0.805
3 Li 0.000 0.000 0.000
4 Pd 0.158 0.313 0.622
5 Pd 0.315 0.623 0.157
6 Pd 0.376 0.842 0.685
7 Pd 0.624 0.158 0.315
8 Pd 0.685 0.377 0.843
9 Pd 0.842 0.687 0.378
10 Pb 0.500 0.500 0.500

***

Diffraction record for CeYMn17. The powder diffraction line list is calculated, not measured: it uses a GGA-PBE-relaxed structure and a wavelength of 1.5418 Å.
Lines closer than 0.1° are merged.

The 10 most intense peaks (10 to 90 degrees two-theta), low angle first:
| 2θ/deg | d/Å | intensity |
| --- | --- | --- |
| 31.0 | 2.883 | 30 |
| 36.0 | 2.493 | 42 |
| 39.3 | 2.294 | 68 |
| 41.8 | 2.159 | 97 |
| 43.2 | 2.096 | 100 |
| 44.7 | 2.026 | 30 |
| 46.0 | 1.974 | 33 |
| 48.3 | 1.886 | 36 |
| 61.7 | 1.504 | 24 |
| 84.5 | 1.147 | 24 |

Structure:
Lattice parameters (Å, degrees): 6.314 6.314 6.314 86.30 86.30 86.30
Positions (direct):
1 Ce 0.000 0.000 0.000
2 Y 0.291 0.291 0.291
3 Mn 0.002 0.002 0.525
4 Mn 0.002 0.525 0.002
5 Mn 0.146 0.642 0.642
6 Mn 0.288 0.288 0.773
7 Mn 0.288 0.773 0.288
8 Mn 0.371 0.645 0.918
9 Mn 0.371 0.918 0.645
10 Mn 0.525 0.002 0.002
11 Mn 0.546 0.546 0.546
12 Mn 0.642 0.146 0.642
13 Mn 0.642 0.642 0.146
14 Mn 0.645 0.371 0.918
15 Mn 0.645 0.918 0.371
16 Mn 0.747 0.747 0.747
17 Mn 0.773 0.288 0.288
18 Mn 0.918 0.371 0.645
19 Mn 0.918 0.645 0.371

***

Diffraction record for Li7Ag5S6. The powder diffraction line list is calculated, not measured: it uses a GGA-PBE-relaxed structure and a wavelength of 1.5418 Å.
Lines closer than 0.1° are merged.

The 10 most intense peaks (10 to 90 degrees two-theta), low angle first:
| 2θ/deg | d/Å | intensity |
| --- | --- | --- |
| 16.1 | 5.492 | 33 |
| 17.8 | 4.982 | 37 |
| 22.5 | 3.947 | 37 |
| 23.6 | 3.774 | 100 |
| 31.8 | 2.811 | 24 |
| 32.8 | 2.728 | 36 |
| 34.4 | 2.606 | 45 |
| 35.7 | 2.516 | 33 |
| 42.6 | 2.122 | 43 |
| 55.3 | 1.660 | 26 |

Structure:
Lattice parameters (Å, degrees): 11.841 5.501 5.501 86.62 90.00 90.00
Positions (direct):
1 Li 0.000 0.000 0.000
2 Li 0.167 0.112 0.487
3 Li 0.167 0.487 0.112
4 Li 0.500 0.112 0.487
5 Li 0.500 0.487 0.112
6 Li 0.833 0.112 0.487
7 Li 0.833 0.487 0.112
8 Ag 0.000 0.609 0.609
9 Ag 0.296 0.597 0.597
10 Ag 0.369 0.993 0.993
11 Ag 0.631 0.993 0.993
12 Ag 0.704 0.597 0.597
13 S 0.000 0.299 0.299
14 S 0.164 0.833 0.833
15 S 0.333 0.296 0.296
16 S 0.500 0.749 0.749
17 S 0.667 0.296 0.296
18 S 0.836 0.833 0.833

***

Diffraction record for Pr12Dy7Er. The powder diffraction line list is calculated, not measured: it uses a GGA-PBE-relaxed structure and a wavelength of 1.5418 Å.
Lines closer than 0.1° are merged.

The 10 most intense peaks (10 to 90 degrees two-theta), low angle first:
| 2θ/deg | d/Å | intensity |
| --- | --- | --- |
| 27.1 | 3.287 | 45 |
| 29.8 | 3.002 | 100 |
| 30.3 | 2.950 | 44 |
| 32.5 | 2.757 | 47 |
| 32.7 | 2.735 | 47 |
| 34.2 | 2.619 | 28 |
| 38.9 | 2.313 | 41 |
| 39.6 | 2.275 | 26 |
| 46.0 | 1.972 | 27 |
| 47.1 | 1.928 | 27 |

Structure:
Lattice parameters (Å, degrees): 11.578 11.578 11.578 116.80 116.80 116.80
Positions (direct):
1 Pr 0.000 0.412 0.588
2 Pr 0.000 0.588 0.412
3 Pr 0.082 0.082 0.435
4 Pr 0.082 0.435 0.082
5 Pr 0.412 0.000 0.588
6 Pr 0.412 0.588 0.000
7 Pr 0.435 0.082 0.082
8 Pr 0.565 0.918 0.918
9 Pr 0.588 0.000 0.412
10 Pr 0.588 0.412 0.000
11 Pr 0.918 0.565 0.918
12 Pr 0.918 0.918 0.565
13 Dy 0.000 0.000 0.000
14 Dy 0.133 0.377 0.377
15 Dy 0.377 0.133 0.377
16 Dy 0.377 0.377 0.133
17 Dy 0.623 0.623 0.867
18 Dy 0.623 0.867 0.623
19 Dy 0.867 0.623 0.623
20 Er 0.500 0.500 0.500

***

Diffraction record for SmFeCo. The powder diffraction line list is calculated, not measured: it uses a GGA-PBE-relaxed structure and a wavelength of 1.5418 Å.
Lines closer than 0.1° are merged.

The 10 most intense peaks (10 to 90 degrees two-theta), low angle first:
| 2θ/deg | d/Å | intensity |
| --- | --- | --- |
| 33.4 | 2.680 | 21 |
| 34.9 | 2.573 | 100 |
| 40.0 | 2.255 | 68 |
| 41.0 | 2.203 | 62 |
| 41.5 | 2.178 | 29 |
| 41.8 | 2.162 | 31 |
| 42.1 | 2.145 | 16 |
| 60.7 | 1.526 | 16 |
| 64.9 | 1.437 | 15 |
| 73.6 | 1.287 | 28 |

Structure:
Lattice parameters (Å, degrees): 5.137 5.361 7.151 90.00 90.00 90.00
Positions (direct):
1 Sm 0.000 0.250 0.126
2 Sm 0.000 0.750 0.874
3 Sm 0.500 0.250 0.374
4 Sm 0.500 0.750 0.626
5 Fe 0.250 0.250 0.750
6 Fe 0.250 0.750 0.250
7 Fe 0.750 0.250 0.750
8 Fe 0.750 0.750 0.250
9 Co 0.000 0.000 0.500
10 Co 0.000 0.500 0.500
11 Co 0.500 0.000 0.000
12 Co 0.500 0.500 0.000

***

Please write out number 7 again, unchanged.
Diffraction record for SmFeCo. The powder diffraction line list is calculated, not measured: it uses a GGA-PBE-relaxed structure and a wavelength of 1.5418 Å.
Lines closer than 0.1° are merged.

The 10 most intense peaks (10 to 90 degrees two-theta), low angle first:
| 2θ/deg | d/Å | intensity |
| --- | --- | --- |
| 33.4 | 2.680 | 21 |
| 34.9 | 2.573 | 100 |
| 40.0 | 2.255 | 68 |
| 41.0 | 2.203 | 62 |
| 41.5 | 2.178 | 29 |
| 41.8 | 2.162 | 31 |
| 42.1 | 2.145 | 16 |
| 60.7 | 1.526 | 16 |
| 64.9 | 1.437 | 15 |
| 73.6 | 1.287 | 28 |

Structure:
Lattice parameters (Å, degrees): 5.137 5.361 7.151 90.00 90.00 90.00
Positions (direct):
1 Sm 0.000 0.250 0.126
2 Sm 0.000 0.750 0.874
3 Sm 0.500 0.250 0.374
4 Sm 0.500 0.750 0.626
5 Fe 0.250 0.250 0.750
6 Fe 0.250 0.750 0.250
7 Fe 0.750 0.250 0.750
8 Fe 0.750 0.750 0.250
9 Co 0.000 0.000 0.500
10 Co 0.000 0.500 0.500
11 Co 0.500 0.000 0.000
12 Co 0.500 0.500 0.000

***

Repeat the fifth record exactly.
Diffraction record for Li7Ag5S6. The powder diffraction line list is calculated, not measured: it uses a GGA-PBE-relaxed structure and a wavelength of 1.5418 Å.
Lines closer than 0.1° are merged.

The 10 most intense peaks (10 to 90 degrees two-theta), low angle first:
| 2θ/deg | d/Å | intensity |
| --- | --- | --- |
| 16.1 | 5.492 | 33 |
| 17.8 | 4.982 | 37 |
| 22.5 | 3.947 | 37 |
| 23.6 | 3.774 | 100 |
| 31.8 | 2.811 | 24 |
| 32.8 | 2.728 | 36 |
| 34.4 | 2.606 | 45 |
| 35.7 | 2.516 | 33 |
| 42.6 | 2.122 | 43 |
| 55.3 | 1.660 | 26 |

Structure:
Lattice parameters (Å, degrees): 11.841 5.501 5.501 86.62 90.00 90.00
Positions (direct):
1 Li 0.000 0.000 0.000
2 Li 0.167 0.112 0.487
3 Li 0.167 0.487 0.112
4 Li 0.500 0.112 0.487
5 Li 0.500 0.487 0.112
6 Li 0.833 0.112 0.487
7 Li 0.833 0.487 0.112
8 Ag 0.000 0.609 0.609
9 Ag 0.296 0.597 0.597
10 Ag 0.369 0.993 0.993
11 Ag 0.631 0.993 0.993
12 Ag 0.704 0.597 0.597
13 S 0.000 0.299 0.299
14 S 0.164 0.833 0.833
15 S 0.333 0.296 0.296
16 S 0.500 0.749 0.749
17 S 0.667 0.296 0.296
18 S 0.836 0.833 0.833